This entry pairs a crystal structure of ThIn2Au4 with its calculated powder X-ray diffraction pattern. Radiation: Cu Ka. Structure: a structure optimized by DFT (GGA-PBE).
Lines closer than 0.1° are merged.

Main lines, by angle (15° ≤ 2θ ≤ 90°):
d/Å  Position (°2θ)  Rel. int.
2.833  31.59  57
2.534  35.42  100
2.509  35.80  26
2.405  37.39  56
2.373  37.92  65
2.360  38.13  28
1.833  49.73  33
1.616  56.99  13
1.412  66.18  16
1.380  67.95  14

Structure:
abc: 8.2784 4.8099 8.8659
angles: 90.00 116.61 90.00
Space group C2/m (No. 12)
Inequivalent atoms, fractional coordinates:
Th: 0.0000 0.0000 0.0000 (multiplicity 2)
In: 0.0313 0.5000 0.7091 (multiplicity 4)
Au: 0.1836 0.0000 0.4000 (multiplicity 4)
Au: 0.2416 0.0000 0.8112 (multiplicity 4)